Computed powder X-ray diffraction pattern of Na8AgPb2 for Cu Kα (weighted mean of Kα1 and Kα2), from DFT lattice parameters and positions (PBE).
Kinematic intensities with the Lorentz-polarization factor, no thermal factor.

Peak list (10 most intense, 2θ from 5° to 70°, by angle)
- 2θ = 11.4°, 7.754 Å, intensity 36.5
- 2θ = 16.2°, 5.476 Å, intensity 28.1
- 2θ = 18.1°, 4.905 Å, intensity 63.0
- 2θ = 19.8°, 4.473 Å, intensity 100.0
- 2θ = 22.9°, 3.877 Å, intensity 33.5
- 2θ = 32.6°, 2.743 Å, intensity 97.6
- 2θ = 32.7°, 2.736 Å, intensity 65.3
- 2θ = 34.7°, 2.584 Å, intensity 34.6
- 2θ = 37.5°, 2.395 Å, intensity 31.4
- 2θ = 37.7°, 2.388 Å, intensity 31.2

Atomic structure:
```
Na8AgPb2
1.0
4.9049 -6.3305 0.0000
4.9049 6.3305 0.0000
-0.0293 0.0000 5.4759
Na Ag Pb
8 1 2
direct
0.0369 0.2990 0.4997
0.2451 0.7549 0.0000
0.2990 0.0369 0.4997
0.3313 0.3313 0.0001
0.6687 0.6687 0.9999
0.7010 0.9631 0.5003
0.7549 0.2451 0.0000
0.9631 0.7010 0.5003
0.0000 0.0000 0.0000
0.3754 0.6246 0.5000
0.6246 0.3754 0.5000
```

=====

Computed powder X-ray diffraction pattern of BaNaCeSe3 for Cu Kα (weighted mean of Kα1 and Kα2), from DFT lattice parameters and positions (PBE).
Kinematic intensities with the Lorentz-polarization factor, no thermal factor.

Peak list (10 most intense, 2θ from 5° to 70°, by angle)
- 2θ = 9.5°, 9.310 Å, intensity 28.8
- 2θ = 20.3°, 4.372 Å, intensity 24.0
- 2θ = 28.4°, 3.139 Å, intensity 100.0
- 2θ = 28.6°, 3.123 Å, intensity 69.0
- 2θ = 28.8°, 3.103 Å, intensity 46.8
- 2θ = 34.5°, 2.597 Å, intensity 25.8
- 2θ = 36.9°, 2.436 Å, intensity 24.1
- 2θ = 39.9°, 2.261 Å, intensity 26.2
- 2θ = 40.4°, 2.231 Å, intensity 36.0
- 2θ = 45.5°, 1.992 Å, intensity 28.3

Atomic structure:
```
BaNaCeSe3
1.0
9.0461 0.0000 0.0000
0.0000 4.4624 0.0000
-2.4718 0.0000 9.3098
Ba Na Ce Se
2 2 2 6
direct
0.2035 0.2500 0.2358
0.7965 0.7500 0.7642
0.0901 0.2500 0.5843
0.9099 0.7500 0.4157
0.3273 0.7500 0.8400
0.6727 0.2500 0.1600
0.1115 0.2500 0.8745
0.2409 0.7500 0.5162
0.4485 0.7500 0.1582
0.5515 0.2500 0.8418
0.7591 0.2500 0.4838
0.8885 0.7500 0.1255
```

=====

Computed powder X-ray diffraction pattern of KCe4Te5 for Cu Kα (weighted mean of Kα1 and Kα2), from DFT lattice parameters and positions (PBE).
Kinematic intensities with the Lorentz-polarization factor, no thermal factor.

Peak list (10 most intense, 2θ from 5° to 70°, by angle)
- 2θ = 7.6°, 11.649 Å, intensity 7.2
- 2θ = 27.6°, 3.233 Å, intensity 100.0
- 2θ = 38.6°, 2.330 Å, intensity 12.5
- 2θ = 39.4°, 2.285 Å, intensity 51.0
- 2θ = 40.1°, 2.249 Å, intensity 12.5
- 2θ = 48.2°, 1.889 Å, intensity 13.3
- 2θ = 49.4°, 1.845 Å, intensity 13.7
- 2θ = 56.9°, 1.618 Å, intensity 8.0
- 2θ = 64.4°, 1.446 Å, intensity 11.0
- 2θ = 64.5°, 1.444 Å, intensity 11.7

Atomic structure:
```
KCe4Te5
1.0
-2.2488 3.2275 11.6485
2.2488 -3.2275 11.6485
2.2488 3.2275 -11.6485
K Ce Te
1 4 5
direct
0.0000 0.0000 0.0000
0.2052 0.2052 0.0000
0.3986 0.3986 0.0000
0.6014 0.6014 0.0000
0.7948 0.7948 0.0000
0.1085 0.6085 0.5000
0.3018 0.8018 0.5000
0.5000 0.0000 0.5000
0.6982 0.1982 0.5000
0.8915 0.3915 0.5000
```

=====

Computed powder X-ray diffraction pattern of PmO4 for Cu Kα (weighted mean of Kα1 and Kα2), from DFT lattice parameters and positions (PBE).
Kinematic intensities with the Lorentz-polarization factor, no thermal factor.

Peak list (10 most intense, 2θ from 5° to 70°, by angle)
- 2θ = 19.2°, 4.617 Å, intensity 100.0
- 2θ = 27.3°, 3.264 Å, intensity 85.1
- 2θ = 33.6°, 2.665 Å, intensity 9.6
- 2θ = 39.0°, 2.308 Å, intensity 34.2
- 2θ = 43.9°, 2.065 Å, intensity 47.4
- 2θ = 48.3°, 1.885 Å, intensity 35.9
- 2θ = 56.4°, 1.632 Å, intensity 21.3
- 2θ = 60.1°, 1.539 Å, intensity 23.3
- 2θ = 63.8°, 1.460 Å, intensity 15.6
- 2θ = 67.3°, 1.392 Å, intensity 5.8

Atomic structure:
```
PmO4
1.0
4.6166 0.0000 0.0000
0.0000 4.6166 0.0000
0.0000 0.0000 4.6166
Pm O
1 4
direct
0.0000 0.0000 0.0000
0.0000 0.0000 0.5000
0.0000 0.5000 0.0000
0.5000 0.0000 0.0000
0.5000 0.5000 0.5000
```

=====

Computed powder X-ray diffraction pattern of Tb4GaSn3 for Cu Kα (weighted mean of Kα1 and Kα2), from DFT lattice parameters and positions (PBE).
Kinematic intensities with the Lorentz-polarization factor, no thermal factor.

Peak list (10 most intense, 2θ from 5° to 70°, by angle)
- 2θ = 30.0°, 2.979 Å, intensity 100.0
- 2θ = 30.9°, 2.896 Å, intensity 22.6
- 2θ = 31.6°, 2.833 Å, intensity 32.1
- 2θ = 37.6°, 2.391 Å, intensity 64.1
- 2θ = 38.2°, 2.355 Å, intensity 14.9
- 2θ = 40.0°, 2.255 Å, intensity 26.3
- 2θ = 42.7°, 2.118 Å, intensity 21.9
- 2θ = 51.8°, 1.764 Å, intensity 16.2
- 2θ = 54.1°, 1.696 Å, intensity 14.3
- 2θ = 59.9°, 1.544 Å, intensity 16.2

Atomic structure:
```
Tb4GaSn3
1.0
4.2359 0.0000 0.0000
0.0000 4.5103 0.0000
0.0000 0.0000 11.3329
Tb Ga Sn
4 1 3
direct
0.0000 0.0000 0.0000
0.0000 0.5000 0.4879
0.5000 0.0000 0.7177
0.5000 0.5000 0.2220
0.0000 0.0000 0.2681
0.0000 0.5000 0.7627
0.5000 0.0000 0.4355
0.5000 0.5000 0.9479
```

=====

Computed powder X-ray diffraction pattern of CsO2 for Cu Kα (weighted mean of Kα1 and Kα2), from DFT lattice parameters and positions (PBE).
Kinematic intensities with the Lorentz-polarization factor, no thermal factor.

Peak list (10 most intense, 2θ from 5° to 70°, by angle)
- 2θ = 21.7°, 4.089 Å, intensity 16.5
- 2θ = 23.2°, 3.838 Å, intensity 86.0
- 2θ = 23.7°, 3.760 Å, intensity 31.8
- 2θ = 26.1°, 3.416 Å, intensity 100.0
- 2θ = 28.7°, 3.116 Å, intensity 52.8
- 2θ = 37.5°, 2.396 Å, intensity 19.2
- 2θ = 38.8°, 2.321 Å, intensity 52.6
- 2θ = 39.4°, 2.285 Å, intensity 31.1
- 2θ = 44.3°, 2.046 Å, intensity 34.2
- 2θ = 47.4°, 1.920 Å, intensity 23.3

Atomic structure:
```
CsO2
1.0
7.7802 0.0000 0.0000
0.0000 4.8717 0.0000
-2.0397 0.0000 7.6787
Cs O
4 8
direct
0.0000 0.1830 0.2500
0.0000 0.8170 0.7500
0.5000 0.3170 0.7500
0.5000 0.6830 0.2500
0.2007 0.3558 0.9586
0.2007 0.6442 0.4586
0.2993 0.1442 0.0414
0.2993 0.8558 0.5414
0.7007 0.1442 0.4586
0.7007 0.8558 0.9586
0.7993 0.3558 0.5414
0.7993 0.6442 0.0414
```

=====

Computed powder X-ray diffraction pattern of KBa2Rh3O8 for Cu Kα (weighted mean of Kα1 and Kα2), from DFT lattice parameters and positions (PBE).
Kinematic intensities with the Lorentz-polarization factor, no thermal factor.

Peak list (10 most intense, 2θ from 5° to 70°, by angle)
- 2θ = 16.3°, 5.438 Å, intensity 38.4
- 2θ = 29.4°, 3.034 Å, intensity 63.8
- 2θ = 31.0°, 2.885 Å, intensity 100.0
- 2θ = 31.8°, 2.818 Å, intensity 33.7
- 2θ = 32.9°, 2.719 Å, intensity 44.1
- 2θ = 37.4°, 2.406 Å, intensity 34.8
- 2θ = 49.3°, 1.848 Å, intensity 35.6
- 2θ = 50.3°, 1.813 Å, intensity 26.1
- 2θ = 51.9°, 1.762 Å, intensity 36.8
- 2θ = 55.8°, 1.648 Å, intensity 44.2

Atomic structure:
```
KBa2Rh3O8
1.0
3.2948 1.9022 5.9714
-3.2948 1.9022 5.9714
0.0000 -3.8045 5.9714
K Ba Rh O
1 2 3 8
direct
0.0000 0.0000 0.0000
0.2408 0.2408 0.2408
0.6280 0.6280 0.6280
0.1213 0.6250 0.6250
0.6250 0.1213 0.6250
0.6250 0.6250 0.1213
0.3708 0.3708 0.7982
0.3708 0.7982 0.3708
0.3986 0.3986 0.3986
0.4470 0.8832 0.8832
0.7982 0.3708 0.3708
0.8485 0.8485 0.8485
0.8832 0.4470 0.8832
0.8832 0.8832 0.4470
```

=====

Computed powder X-ray diffraction pattern of Ho6In2C for Cu Kα (weighted mean of Kα1 and Kα2), from DFT lattice parameters and positions (PBE).
Kinematic intensities with the Lorentz-polarization factor, no thermal factor.

Peak list (10 most intense, 2θ from 5° to 70°, by angle)
- 2θ = 15.7°, 5.627 Å, intensity 0.7
- 2θ = 18.2°, 4.873 Å, intensity 2.2
- 2θ = 25.9°, 3.446 Å, intensity 1.0
- 2θ = 31.8°, 2.813 Å, intensity 100.0
- 2θ = 36.9°, 2.437 Å, intensity 52.2
- 2θ = 41.4°, 2.179 Å, intensity 1.0
- 2θ = 45.6°, 1.989 Å, intensity 0.6
- 2θ = 53.2°, 1.723 Å, intensity 36.2
- 2θ = 63.3°, 1.469 Å, intensity 41.4
- 2θ = 66.5°, 1.407 Å, intensity 12.2

Atomic structure:
```
Ho6In2C
1.0
0.0000 4.8731 4.8731
4.8731 0.0000 4.8731
4.8731 4.8731 0.0000
Ho In C
6 2 1
direct
0.2453 0.2453 0.7547
0.2453 0.7547 0.2453
0.2453 0.7547 0.7547
0.7547 0.2453 0.2453
0.7547 0.2453 0.7547
0.7547 0.7547 0.2453
0.2500 0.2500 0.2500
0.7500 0.7500 0.7500
0.0000 0.0000 0.0000
```

=====

Computed powder X-ray diffraction pattern of NaIn5Pd2 for Cu Kα (weighted mean of Kα1 and Kα2), from DFT lattice parameters and positions (PBE).
Kinematic intensities with the Lorentz-polarization factor, no thermal factor.

Peak list (10 most intense, 2θ from 5° to 70°, by angle)
- 2θ = 13.4°, 6.611 Å, intensity 83.2
- 2θ = 15.8°, 5.609 Å, intensity 33.8
- 2θ = 31.6°, 2.828 Å, intensity 100.0
- 2θ = 32.1°, 2.786 Å, intensity 84.8
- 2θ = 38.9°, 2.313 Å, intensity 85.1
- 2θ = 39.1°, 2.303 Å, intensity 26.4
- 2θ = 39.5°, 2.284 Å, intensity 73.1
- 2θ = 40.3°, 2.239 Å, intensity 54.2
- 2θ = 43.3°, 2.088 Å, intensity 44.5
- 2θ = 59.7°, 1.550 Å, intensity 46.9

Atomic structure:
```
NaIn5Pd2
1.0
4.1758 0.0000 0.0000
0.0000 8.1833 0.0000
0.0000 0.0000 11.2171
Na In Pd
2 10 4
direct
0.0000 0.0000 0.0000
0.5000 0.5000 0.5000
0.0000 0.2062 0.3536
0.0000 0.2062 0.6464
0.0000 0.5000 0.0000
0.0000 0.7938 0.3536
0.0000 0.7938 0.6464
0.5000 0.0000 0.5000
0.5000 0.2938 0.1464
0.5000 0.2938 0.8536
0.5000 0.7062 0.1464
0.5000 0.7062 0.8536
0.0000 0.5000 0.2387
0.0000 0.5000 0.7613
0.5000 0.0000 0.2613
0.5000 0.0000 0.7387
```

=====

Computed powder X-ray diffraction pattern of Sr2NpN4 for Cu Kα (weighted mean of Kα1 and Kα2), from DFT lattice parameters and positions (PBE).
Kinematic intensities with the Lorentz-polarization factor, no thermal factor.

Peak list (10 most intense, 2θ from 5° to 70°, by angle)
- 2θ = 13.9°, 6.389 Å, intensity 47.7
- 2θ = 21.8°, 4.069 Å, intensity 29.6
- 2θ = 29.4°, 3.035 Å, intensity 63.5
- 2θ = 29.5°, 3.023 Å, intensity 100.0
- 2θ = 41.1°, 2.196 Å, intensity 22.7
- 2θ = 42.1°, 2.146 Å, intensity 30.6
- 2θ = 52.3°, 1.750 Å, intensity 42.8
- 2θ = 52.5°, 1.743 Å, intensity 18.4
- 2θ = 60.3°, 1.535 Å, intensity 14.8
- 2θ = 69.2°, 1.357 Å, intensity 20.8

Atomic structure:
```
Sr2NpN4
1.0
-3.0350 3.0350 12.7789
3.0350 -3.0350 12.7789
3.0350 3.0350 -12.7789
Sr Np N
8 4 16
direct
0.0530 0.3030 0.7500
0.1970 0.4470 0.7500
0.3030 0.0530 0.2500
0.4470 0.1970 0.2500
0.5530 0.8030 0.7500
0.6970 0.9470 0.7500
0.8030 0.5530 0.2500
0.9470 0.6970 0.2500
0.1250 0.8750 0.2500
0.3750 0.6250 0.7500
0.6250 0.3750 0.2500
0.8750 0.1250 0.7500
0.0480 0.7980 0.2500
0.1240 0.8740 0.7481
0.1260 0.3740 0.2500
0.2020 0.9520 0.2500
0.2980 0.5480 0.7500
0.3740 0.6240 0.2481
0.3760 0.1240 0.7500
0.4520 0.7020 0.7500
0.5480 0.2980 0.2500
0.6240 0.8760 0.2500
0.6260 0.3760 0.7519
0.7020 0.4520 0.2500
0.7980 0.0480 0.7500
0.8740 0.6260 0.7500
0.8760 0.1260 0.2519
0.9520 0.2020 0.7500
```

=====

Computed powder X-ray diffraction pattern of Ge2HS2 for Cu Kα (weighted mean of Kα1 and Kα2), from DFT lattice parameters and positions (PBE).
Kinematic intensities with the Lorentz-polarization factor, no thermal factor.

Peak list (10 most intense, 2θ from 5° to 70°, by angle)
- 2θ = 9.8°, 9.005 Å, intensity 100.0
- 2θ = 16.9°, 5.246 Å, intensity 18.9
- 2θ = 28.5°, 3.132 Å, intensity 28.0
- 2θ = 29.8°, 2.997 Å, intensity 36.2
- 2θ = 31.9°, 2.803 Å, intensity 33.0
- 2θ = 32.1°, 2.787 Å, intensity 28.8
- 2θ = 34.5°, 2.601 Å, intensity 17.7
- 2θ = 34.9°, 2.570 Å, intensity 13.6
- 2θ = 38.1°, 2.364 Å, intensity 25.9
- 2θ = 49.1°, 1.857 Å, intensity 14.3

Atomic structure:
```
Ge2HS2
1.0
3.7147 0.0000 0.0000
-0.1364 6.2668 0.0000
-1.7402 -0.3827 9.0049
Ge H S
4 2 4
direct
0.0291 0.2856 0.0804
0.4087 0.2570 0.8241
0.5913 0.7430 0.1759
0.9709 0.7144 0.9196
0.2151 0.7279 0.4402
0.7849 0.2721 0.5598
0.1717 0.8842 0.3397
0.3847 0.6028 0.7466
0.6153 0.3972 0.2534
0.8283 0.1158 0.6603
```

=====

Computed powder X-ray diffraction pattern of Ce3TcRh for Cu Kα (weighted mean of Kα1 and Kα2), from DFT lattice parameters and positions (PBE).
Kinematic intensities with the Lorentz-polarization factor, no thermal factor.

Peak list (10 most intense, 2θ from 5° to 70°, by angle)
- 2θ = 26.9°, 3.315 Å, intensity 37.5
- 2θ = 27.7°, 3.217 Å, intensity 21.3
- 2θ = 34.7°, 2.588 Å, intensity 100.0
- 2θ = 35.3°, 2.543 Å, intensity 12.5
- 2θ = 36.1°, 2.487 Å, intensity 39.2
- 2θ = 40.5°, 2.227 Å, intensity 42.3
- 2θ = 41.9°, 2.157 Å, intensity 61.6
- 2θ = 46.3°, 1.961 Å, intensity 17.9
- 2θ = 55.4°, 1.659 Å, intensity 22.6
- 2θ = 69.9°, 1.345 Å, intensity 12.7

Atomic structure:
```
Ce3TcRh
1.0
7.7493 -2.2268 0.0000
7.7493 2.2268 0.0000
-3.3096 0.0000 6.6195
Ce Tc Rh
6 2 2
direct
0.0522 0.0522 0.2084
0.2472 0.2472 0.7292
0.4304 0.4304 0.2223
0.5696 0.5696 0.7777
0.7528 0.7528 0.2708
0.9478 0.9478 0.7916
0.1903 0.1903 0.0409
0.8097 0.8097 0.9591
0.3505 0.3505 0.4938
0.6495 0.6495 0.5062
```